# CsNbMoO6
Theoretical powder XRD pattern, copper Kα. Input: DFT lattice parameters and positions (PBE+U).
Kinematic intensities with the Lorentz-polarization factor, no thermal factor.

Largest 10 diffraction maxima, by intensity, 5° ≤ 2θ ≤ 70°:
d [Å]  2theta  I_rel  (hkl)
3.828  23.24  100  1 0 1
2.098  43.11  35  2 -1 2
2.697  33.22  27  1 1 0
1.707  53.70  19  3 -1 1
2.205  40.93  16  0 2 1
6.681  13.25  14  0 0 1
2.010  45.10  13  1 0 3
3.340  26.69  12  0 0 2
1.612  57.15  11  0 2 3
1.383  67.73  9  2 1 3

abc: 5.3937 5.3937 6.6810
angles: 90.00 90.00 120.00
Space group P3 (No. 143)
Inequivalent atoms, fractional coordinates:
Cs: 0.0000 0.0000 0.0000
Nb: 0.3333 0.6667 0.5450
Mo: 0.6667 0.3333 0.4677
O: 0.4094 0.4047 0.3331
O: 0.4149 0.0145 0.6742